The following is a theoretical X-ray powder pattern of ScI3. It was derived from the PBE geometry in the Materials Project, using λ = 1.5418 Å (Cu Kα).

Main lines, sorted by position (10° ≤ 2θ ≤ 80°):
2θ 17.25, rel. 73
2θ 22.89, rel. 100
2θ 24.89, rel. 68
2θ 29.15, rel. 55
2θ 31.38, rel. 35
2θ 34.91, rel. 24
2θ 35.20, rel. 99
2θ 39.46, rel. 70
2θ 45.87, rel. 38
2θ 53.51, rel. 22
2θ 59.11, rel. 21
2θ 68.30, rel. 23

```
ScI3
1.0
11.8701 0.0000 0.0000
-5.9350 10.2798 0.0000
0.0000 0.0000 3.8153
Sc I
2 6
Direct
0.3333 0.6667 0.2500
0.6667 0.3333 0.7500
0.2254 0.4509 0.7500
0.2254 0.7746 0.7500
0.4509 0.2254 0.2500
0.5491 0.7746 0.7500
0.7746 0.2254 0.2500
0.7746 0.5491 0.2500
```

=====

The following is a theoretical X-ray powder pattern of CeGeBi2. It was derived from the PBE geometry in the Materials Project, using λ = 1.5418 Å (Cu Kα).

Main lines, sorted by position (10° ≤ 2θ ≤ 80°):
2θ 17.67, rel. 11
2θ 27.22, rel. 8
2θ 32.64, rel. 100
2θ 35.79, rel. 19
2θ 38.88, rel. 32
2θ 43.00, rel. 5
2θ 45.54, rel. 5
2θ 53.86, rel. 24
2θ 56.15, rel. 11
2θ 62.32, rel. 15
2θ 66.48, rel. 26
2θ 68.39, rel. 12

```
CeGeBi2
1.0
4.6330 0.0000 0.0000
0.0000 4.6330 0.0000
0.0000 0.0000 20.0738
Ce Ge Bi
4 4 8
Direct
0.0000 0.0000 0.1189
0.0000 0.0000 0.8811
0.5000 0.5000 0.3811
0.5000 0.5000 0.6189
0.0000 0.0000 0.3805
0.0000 0.0000 0.6195
0.5000 0.5000 0.1195
0.5000 0.5000 0.8805
0.0000 0.5000 0.0000
0.0000 0.5000 0.2500
0.0000 0.5000 0.5000
0.0000 0.5000 0.7500
0.5000 0.0000 0.0000
0.5000 0.0000 0.2500
0.5000 0.0000 0.5000
0.5000 0.0000 0.7500
```

=====

The following is a theoretical X-ray powder pattern of Cu3As2O8. It was derived from the PBE geometry in the Materials Project, using λ = 1.5418 Å (Cu Kα).

Main lines, sorted by position (10° ≤ 2θ ≤ 80°):
2θ 21.56, rel. 24
2θ 22.74, rel. 24
2θ 25.57, rel. 36
2θ 28.77, rel. 27
2θ 29.84, rel. 31
2θ 30.55, rel. 46
2θ 31.04, rel. 100
2θ 31.15, rel. 54
2θ 31.37, rel. 86
2θ 34.39, rel. 31
2θ 37.33, rel. 41
2θ 61.33, rel. 27

```
Cu3As2O8
1.0
6.3717 0.0000 0.0000
0.0000 8.8292 0.0000
-0.4728 0.0000 11.5244
Cu As O
12 8 32
Direct
0.0916 0.1898 0.0689
0.0916 0.3102 0.5689
0.2438 0.6630 0.6334
0.2438 0.8370 0.1334
0.3840 0.0302 0.6244
0.3840 0.4698 0.1244
0.6160 0.5302 0.8756
0.6160 0.9698 0.3756
0.7562 0.1630 0.8666
0.7562 0.3370 0.3666
0.9084 0.6898 0.4311
0.9084 0.8102 0.9311
0.1022 0.0624 0.3483
0.1022 0.4376 0.8483
0.4163 0.6146 0.3680
0.4163 0.8854 0.8680
0.5837 0.1146 0.1320
0.5837 0.3854 0.6320
0.8978 0.5624 0.1517
0.8978 0.9376 0.6517
0.0374 0.2440 0.3973
0.0374 0.2560 0.8973
0.0874 0.0701 0.6204
0.0874 0.4299 0.1204
0.1320 0.0525 0.1996
0.1320 0.4475 0.6996
0.2024 0.6306 0.4571
0.2024 0.8694 0.9571
0.3291 0.5029 0.9167
0.3291 0.9971 0.4167
0.3409 0.6545 0.2232
0.3409 0.8455 0.7232
0.3938 0.2428 0.0812
0.3938 0.2572 0.5812
0.4821 0.0733 0.8662
0.4821 0.4267 0.3662
0.5179 0.5733 0.6338
0.5179 0.9267 0.1338
0.6062 0.7428 0.4188
0.6062 0.7572 0.9188
0.6591 0.1545 0.2768
0.6591 0.3455 0.7768
0.6709 0.0029 0.5833
0.6709 0.4971 0.0833
0.7976 0.1306 0.0429
0.7976 0.3694 0.5429
0.8680 0.5525 0.3004
0.8680 0.9475 0.8004
0.9126 0.5701 0.8796
0.9126 0.9299 0.3796
0.9626 0.7440 0.1027
0.9626 0.7560 0.6027
```

=====

The following is a theoretical X-ray powder pattern of CsVI3. It was derived from the PBE geometry in the Materials Project, using λ = 1.5418 Å (Cu Kα).

Main lines, sorted by position (10° ≤ 2θ ≤ 80°):
2θ 12.33, rel. 10
2θ 24.80, rel. 14
2θ 25.58, rel. 23
2θ 27.96, rel. 100
2θ 35.93, rel. 24
2θ 43.68, rel. 23
2θ 46.59, rel. 24
2θ 51.30, rel. 19
2θ 52.64, rel. 20
2θ 65.77, rel. 8
2θ 70.71, rel. 23
2θ 72.84, rel. 7

```
CsVI3
1.0
8.2898 0.0000 0.0000
-4.1449 7.1792 0.0000
0.0000 0.0000 6.9640
Cs V I
2 2 6
Direct
0.3333 0.6667 0.2500
0.6667 0.3333 0.7500
0.0000 0.0000 0.0000
0.0000 0.0000 0.5000
0.1583 0.3165 0.7500
0.1583 0.8417 0.7500
0.3165 0.1583 0.2500
0.6835 0.8417 0.7500
0.8417 0.1583 0.2500
0.8417 0.6835 0.2500
```

=====

The following is a theoretical X-ray powder pattern of Rb2NaPdF6. It was derived from the PBE geometry in the Materials Project, using λ = 1.5418 Å (Cu Kα).

Main lines, sorted by position (10° ≤ 2θ ≤ 80°):
2θ 17.57, rel. 28
2θ 28.89, rel. 100
2θ 34.01, rel. 12
2θ 35.58, rel. 13
2θ 41.31, rel. 46
2θ 45.21, rel. 4
2θ 51.19, rel. 40
2θ 54.55, rel. 6
2θ 59.85, rel. 28
2θ 62.90, rel. 5
2θ 67.80, rel. 18
2θ 75.32, rel. 9

```
Rb2NaPdF6
1.0
0.0000 4.3708 4.3708
4.3708 0.0000 4.3708
4.3708 4.3708 0.0000
Rb Na Pd F
2 1 1 6
Direct
0.2500 0.2500 0.2500
0.7500 0.7500 0.7500
0.0000 0.0000 0.0000
0.5000 0.5000 0.5000
0.2637 0.2637 0.7363
0.2637 0.7363 0.2637
0.2637 0.7363 0.7363
0.7363 0.2637 0.2637
0.7363 0.2637 0.7363
0.7363 0.7363 0.2637
```

=====

The following is a theoretical X-ray powder pattern of CuAg2P4O12. It was derived from the PBE geometry in the Materials Project, using λ = 1.5418 Å (Cu Kα).

Main lines, sorted by position (10° ≤ 2θ ≤ 80°):
2θ 17.20, rel. 60
2θ 21.73, rel. 28
2θ 22.43, rel. 81
2θ 26.26, rel. 100
2θ 27.81, rel. 49
2θ 28.61, rel. 24
2θ 30.65, rel. 32
2θ 31.94, rel. 42
2θ 34.41, rel. 42
2θ 39.86, rel. 42
2θ 46.08, rel. 26
2θ 50.34, rel. 29

```
CuAg2P4O12
1.0
4.8048 -6.7868 0.0000
4.8048 6.7868 0.0000
-0.7700 0.0000 7.9290
Cu Ag P O
2 4 8 24
Direct
0.1364 0.8636 0.7500
0.8636 0.1364 0.2500
0.1857 0.4747 0.3102
0.4747 0.1857 0.8102
0.5253 0.8143 0.1898
0.8143 0.5253 0.6898
0.0621 0.2104 0.6761
0.2104 0.0621 0.1761
0.2396 0.5501 0.8720
0.4499 0.7604 0.6280
0.5501 0.2396 0.3720
0.7604 0.4499 0.1280
0.7896 0.9379 0.8239
0.9379 0.7896 0.3239
0.0346 0.3014 0.5268
0.0837 0.1566 0.1590
0.1068 0.6293 0.8166
0.1210 0.8790 0.2500
0.1566 0.0837 0.6590
0.1638 0.3468 0.8330
0.3014 0.0346 0.0268
0.3113 0.5818 0.0519
0.3468 0.1638 0.3330
0.3707 0.8932 0.6834
0.3956 0.6044 0.7500
0.4182 0.6887 0.4481
0.5818 0.3113 0.5519
0.6044 0.3956 0.2500
0.6293 0.1068 0.3166
0.6532 0.8362 0.6670
0.6887 0.4182 0.9481
0.6986 0.9654 0.9732
0.8362 0.6532 0.1670
0.8434 0.9163 0.3410
0.8790 0.1210 0.7500
0.8932 0.3707 0.1834
0.9163 0.8434 0.8410
0.9654 0.6986 0.4732
```

=====

The following is a theoretical X-ray powder pattern of Al2Si2H4O9. It was derived from the PBE geometry in the Materials Project, using λ = 1.5418 Å (Cu Kα).

Main lines, sorted by position (10° ≤ 2θ ≤ 80°):
2θ 18.70, rel. 100
2θ 19.13, rel. 27
2θ 19.28, rel. 42
2θ 19.49, rel. 58
2θ 20.09, rel. 47
2θ 20.54, rel. 11
2θ 28.07, rel. 14
2θ 28.21, rel. 17
2θ 33.47, rel. 26
2θ 33.57, rel. 16
2θ 34.64, rel. 22
2θ 47.92, rel. 13

```
Al2Si2H4O9
1.0
4.6276 -2.6961 0.0000
4.6276 2.6961 0.0000
-3.3906 0.0000 18.9825
Al Si H O
4 4 8 18
Direct
0.1012 0.8988 0.5000
0.1869 0.4569 0.9942
0.4569 0.1869 0.4942
0.8988 0.1012 0.0000
0.2311 0.9178 0.6769
0.2692 0.5643 0.1799
0.5643 0.2692 0.6799
0.9178 0.2311 0.1769
0.4234 0.5237 0.5897
0.4717 0.6872 0.9159
0.5237 0.4234 0.0897
0.6470 0.8049 0.3120
0.6872 0.4717 0.4159
0.7748 0.8277 0.3237
0.8049 0.6470 0.8120
0.8277 0.7748 0.8237
0.1010 0.9080 0.2046
0.1021 0.4050 0.1994
0.1414 0.1760 0.4798
0.1760 0.1414 0.9798
0.2227 0.8353 0.5922
0.2991 0.5234 0.0925
0.3966 0.5371 0.4726
0.4050 0.1021 0.6994
0.4102 0.6070 0.7124
0.4885 0.5016 0.4021
0.5016 0.4885 0.9021
0.5234 0.2991 0.5926
0.5371 0.3966 0.9726
0.6070 0.4102 0.2124
0.7792 0.9054 0.4745
0.8353 0.2227 0.0922
0.9054 0.7792 0.9745
0.9080 0.1010 0.7046
```

=====

The following is a theoretical X-ray powder pattern of Ba2LuB2ClO6. It was derived from the PBE geometry in the Materials Project, using λ = 1.5418 Å (Cu Kα).

Main lines, sorted by position (10° ≤ 2θ ≤ 80°):
2θ 21.76, rel. 69
2θ 23.64, rel. 35
2θ 26.14, rel. 25
2θ 27.78, rel. 14
2θ 28.22, rel. 20
2θ 29.03, rel. 100
2θ 29.84, rel. 19
2θ 33.75, rel. 33
2θ 35.11, rel. 21
2θ 37.76, rel. 17
2θ 43.18, rel. 25
2θ 44.55, rel. 13

```
Ba2LuB2ClO6
1.0
6.4252 0.0000 0.0000
0.0000 5.3115 0.0000
-1.1917 0.0000 11.3214
Ba Lu B Cl O
4 2 4 2 12
Direct
0.0946 0.2500 0.2036
0.3433 0.2500 0.5793
0.6567 0.7500 0.4207
0.9054 0.7500 0.7964
0.3470 0.2500 0.9161
0.6530 0.7500 0.0839
0.2106 0.7500 0.0688
0.3749 0.7500 0.7309
0.6251 0.2500 0.2691
0.7894 0.2500 0.9312
0.1481 0.7500 0.4114
0.8519 0.2500 0.5886
0.0041 0.7500 0.0873
0.2910 0.5199 0.7680
0.2910 0.9801 0.7680
0.3302 0.5288 0.0631
0.3302 0.9712 0.0631
0.4822 0.2500 0.3524
0.5178 0.7500 0.6476
0.6698 0.0288 0.9369
0.6698 0.4712 0.9369
0.7090 0.0199 0.2320
0.7090 0.4801 0.2320
0.9959 0.2500 0.9127
```

=====

The following is a theoretical X-ray powder pattern of Li2ZrTeO6. It was derived from the PBE geometry in the Materials Project, using λ = 1.5418 Å (Cu Kα).

Main lines, sorted by position (10° ≤ 2θ ≤ 80°):
2θ 23.32, rel. 100
2θ 32.21, rel. 39
2θ 34.19, rel. 24
2θ 39.37, rel. 7
2θ 41.79, rel. 14
2θ 47.67, rel. 18
2θ 52.37, rel. 28
2θ 55.06, rel. 16
2θ 56.13, rel. 8
2θ 59.96, rel. 15
2θ 61.21, rel. 12
2θ 76.87, rel. 7

```
Li2ZrTeO6
1.0
2.6229 1.5143 4.6849
-2.6229 1.5143 4.6849
0.0000 -3.0287 4.6849
Li Zr Te O
2 1 1 6
Direct
0.0000 0.0000 0.0000
0.4891 0.4891 0.4891
0.2756 0.2756 0.2756
0.7802 0.7802 0.7802
0.0353 0.4160 0.6683
0.1498 0.8877 0.5607
0.4159 0.6683 0.0353
0.5607 0.1498 0.8877
0.6683 0.0353 0.4159
0.8877 0.5607 0.1498
```

=====

The following is a theoretical X-ray powder pattern of Tm6Mn23. It was derived from the PBE geometry in the Materials Project, using λ = 1.5418 Å (Cu Kα).

Main lines, sorted by position (10° ≤ 2θ ≤ 80°):
2θ 25.93, rel. 32
2θ 30.03, rel. 22
2θ 32.80, rel. 31
2θ 37.00, rel. 35
2θ 39.33, rel. 100
2θ 42.98, rel. 90
2θ 45.73, rel. 18
2θ 55.10, rel. 19
2θ 59.67, rel. 14
2θ 64.03, rel. 23
2θ 66.67, rel. 28
2θ 68.23, rel. 14

```
Tm6Mn23
1.0
0.0000 5.9516 5.9516
5.9516 0.0000 5.9516
5.9516 5.9516 0.0000
Tm Mn
6 23
Direct
0.2044 0.2044 0.7956
0.2044 0.7956 0.2044
0.2044 0.7956 0.7956
0.7956 0.2044 0.2044
0.7956 0.2044 0.7956
0.7956 0.7956 0.2044
0.0000 0.0000 0.5000
0.0000 0.5000 0.0000
0.0000 0.5000 0.5000
0.1361 0.6213 0.6213
0.1768 0.1768 0.1768
0.1768 0.1768 0.4696
0.1768 0.4696 0.1768
0.3787 0.3787 0.3787
0.3787 0.3787 0.8639
0.3787 0.8639 0.3787
0.4696 0.1768 0.1768
0.5000 0.0000 0.0000
0.5000 0.0000 0.5000
0.5000 0.5000 0.0000
0.5000 0.5000 0.5000
0.5304 0.8232 0.8232
0.6213 0.1361 0.6213
0.6213 0.6213 0.1361
0.6213 0.6213 0.6213
0.8232 0.5304 0.8232
0.8232 0.8232 0.5304
0.8232 0.8232 0.8232
0.8639 0.3787 0.3787
```